[1]
Structure and calculated powder X-ray diffraction pattern of Li3V3SbO8 (a crystal structure in the Materials Project, relaxed with PBE+U; a wavelength of 1.5418 Å).
Lines closer than 0.1° are merged.

Atomic structure:
```
data_Li3V3SbO8
_symmetry_space_group_name_H-M 'C 1 2 1'
_symmetry_Int_Tables_number 5
_symmetry_space_group_name_Hall 'C 2y'
_cell_length_a 10.544
_cell_length_b 6.164
_cell_length_c 6.116
_cell_angle_alpha 90.00
_cell_angle_beta 125.30
_cell_angle_gamma 90.00
loop_
_atom_site_label
_atom_site_fract_x
_atom_site_fract_y
_atom_site_fract_z
Li1 0.000 0.000 0.000
Li2 0.250 0.250 0.500
V1 0.000 0.501 0.500
V2 0.249 0.749 0.999
Sb1 0.000 0.000 0.500
O1 0.009 0.766 0.739
O2 0.011 0.233 0.740
O3 0.234 0.999 0.739
O4 0.249 0.499 0.779
```

The 10 most intense peaks (2θ from 15° to 90°), most intense first:
2theta	intensity
17.8	100.0
41.6	45.2
34.2	32.1
17.7	24.9
42.0	22.1
60.5	19.0
34.5	18.4
45.7	16.7
60.7	12.2
36.0	10.5

***

[2]
Structure and calculated powder X-ray diffraction pattern of Li4Co3Ni3O12 (a crystal structure in the Materials Project, relaxed with PBE+U; a wavelength of 1.5418 Å).
Lines closer than 0.1° are merged.

Atomic structure:
```
data_Li4Co3Ni3O12
_symmetry_space_group_name_H-M 'P -1'
_symmetry_Int_Tables_number 2
_symmetry_space_group_name_Hall '-P 1'
_cell_length_a 5.668
_cell_length_b 5.853
_cell_length_c 6.558
_cell_angle_alpha 103.61
_cell_angle_beta 102.73
_cell_angle_gamma 91.52
loop_
_atom_site_label
_atom_site_fract_x
_atom_site_fract_y
_atom_site_fract_z
Li1 0.000 0.000 0.000
Li2 0.185 0.656 0.658
Li3 0.500 0.000 0.000
Co1 0.168 0.168 0.665
Co2 0.500 0.500 0.000
Ni1 0.000 0.500 0.000
Ni2 0.334 0.831 0.334
O1 0.071 0.616 0.329
O2 0.078 0.061 0.352
O3 0.247 0.257 0.970
O4 0.251 0.720 0.002
O5 0.407 0.952 0.661
O6 0.417 0.397 0.696
```

The 10 most intense peaks (2θ from 15° to 90°), most intense first:
2theta	intensity
18.4	100.0
43.9	39.0
45.1	17.8
36.3	12.9
36.5	11.8
37.5	10.9
64.0	10.2
63.6	9.9
57.7	9.9
48.4	7.4

***

[3]
Structure and calculated powder X-ray diffraction pattern of CoGeO3 (a crystal structure in the Materials Project, relaxed with PBE+U; a wavelength of 1.5418 Å).
Lines closer than 0.1° are merged.

Atomic structure:
```
data_CoGeO3
_symmetry_space_group_name_H-M 'P 1'
_symmetry_Int_Tables_number 1
_symmetry_space_group_name_Hall 'P 1'
_cell_length_a 5.192
_cell_length_b 6.690
_cell_length_c 6.693
_cell_angle_alpha 85.64
_cell_angle_beta 81.38
_cell_angle_gamma 81.65
loop_
_atom_site_label
_atom_site_fract_x
_atom_site_fract_y
_atom_site_fract_z
Co1 0.000 0.000 0.000
Co2 0.000 0.358 0.647
Co3 0.501 0.828 0.177
Co4 0.502 0.195 0.811
Ge1 0.036 0.491 0.117
Ge2 0.466 0.702 0.704
Ge3 0.536 0.300 0.303
Ge4 0.968 0.888 0.514
O1 0.116 0.302 0.937
O2 0.140 0.957 0.280
O3 0.160 0.665 0.618
O4 0.343 0.525 0.201
O5 0.365 0.231 0.538
O6 0.384 0.891 0.884
O7 0.618 0.121 0.113
O8 0.636 0.467 0.774
O9 0.660 0.804 0.480
O10 0.842 0.386 0.340
O11 0.864 0.725 0.048
O12 0.888 0.067 0.705
```

The 10 most intense peaks (2θ from 15° to 90°), most intense first:
2theta	intensity
29.5	100.0
34.3	98.0
30.1	92.4
35.3	75.1
34.7	52.8
34.8	52.2
63.0	49.4
27.0	41.9
61.9	41.3
56.5	41.2